Starting from a structure optimized by DFT (GGA-PBE), the X-ray powder pattern of Zn2P2O7 was computed for copper Kα.

```
data_Zn2P2O7
_chemical_formula_sum 'Zn4 P4 O14'
_symmetry_space_group_name_H-M 'C 1 2 1'
_symmetry_Int_Tables_number 5
_symmetry_space_group_name_Hall 'C 2y'
_cell_length_a 9.2938
_cell_length_b 4.8854
_cell_length_c 6.9144
_cell_angle_alpha 90.00
_cell_angle_beta 108.94
_cell_angle_gamma 90.00
loop_
_atom_site_label
_atom_site_type_symbol
_atom_site_fract_x
_atom_site_fract_y
_atom_site_fract_z
_atom_site_occupancy
Zn1 Zn 0.2061 0.0000 0.1583 1
P1 P 0.0796 0.9777 0.7090 1
O1 O 0.0000 0.1494 0.5000 1
O2 O 0.0395 0.8352 0.2200 1
O3 O 0.1614 0.1949 0.8736 1
O4 O 0.1900 0.7827 0.6596 1
```

Top 10 peaks for 2θ = 10–80°, in order of rising 2θ:
2θ (°)	I/Imax	(hkl)
13.54	21.6	0 0 1
20.20	17.8	2 0 0
20.36	30.5	2 0 -1
20.80	100.0	1 1 0
23.01	26.8	1 1 -1
27.27	28.9	0 0 2
34.49	68.0	3 1 -1
37.17	65.7	1 1 2
46.99	17.2	3 1 -3
55.27	19.8	2 2 -3

=====

Starting from a structure optimized by DFT (GGA-PBE), the X-ray powder pattern of NdPuCl6 was computed for copper Kα.

```
data_NdPuCl6
_chemical_formula_sum 'Nd1 Pu1 Cl6'
_symmetry_space_group_name_H-M 'P -6'
_symmetry_Int_Tables_number 174
_symmetry_space_group_name_Hall 'P -6'
_cell_length_a 7.4304
_cell_length_b 7.4304
_cell_length_c 4.2412
_cell_angle_alpha 90.00
_cell_angle_beta 90.00
_cell_angle_gamma 120.00
loop_
_atom_site_label
_atom_site_type_symbol
_atom_site_fract_x
_atom_site_fract_y
_atom_site_fract_z
_atom_site_occupancy
Nd1 Nd 0.0000 0.0000 0.0000 1
Pu1 Pu 0.3333 0.6667 0.5000 1
Cl1 Cl 0.0573 0.6364 0.0000 1
Cl2 Cl 0.2783 0.0291 0.5000 1
```

Top 10 peaks for 2θ = 10–80°, in order of rising 2θ:
2θ (°)	I/Imax	(hkl)
13.76	100.0	1 0 0
23.95	48.6	1 1 0
25.15	73.6	1 0 1
27.73	18.0	2 0 0
32.03	16.8	1 1 1
35.01	76.6	2 0 1
42.13	28.7	3 0 0
42.86	67.6	2 1 1
61.49	18.5	3 0 2
67.14	23.1	2 3 1

=====

Starting from a structure optimized by DFT (GGA-PBE), the X-ray powder pattern of BaLuAgTe2S was computed for copper Kα.

```
data_BaLuAgTe2S
_chemical_formula_sum 'Ba2 Lu2 Ag2 Te4 S2'
_symmetry_space_group_name_H-M 'P 1 21/m 1'
_symmetry_Int_Tables_number 11
_symmetry_space_group_name_Hall '-P 2yb'
_cell_length_a 8.2601
_cell_length_b 4.2694
_cell_length_c 11.0942
_cell_angle_alpha 90.00
_cell_angle_beta 108.65
_cell_angle_gamma 90.00
loop_
_atom_site_label
_atom_site_type_symbol
_atom_site_fract_x
_atom_site_fract_y
_atom_site_fract_z
_atom_site_occupancy
Ba1 Ba 0.2177 0.2500 0.2835 1
Lu1 Lu 0.3068 0.7500 0.8342 1
Ag1 Ag 0.0841 0.2500 0.5876 1
Te1 Te 0.2928 0.7500 0.5516 1
Te2 Te 0.4109 0.7500 0.1234 1
S1 S 0.0971 0.2500 0.8216 1
```

Top 10 peaks for 2θ = 10–80°, in order of rising 2θ:
2θ (°)	I/Imax	(hkl)
11.74	78.1	1 0 -1
27.02	34.3	1 1 -2
30.13	47.9	2 1 -1
31.00	86.2	2 1 0
31.12	24.7	1 0 3
32.23	100.0	1 0 -4
33.09	30.9	3 0 -2
34.11	40.4	2 1 1
40.64	26.9	2 1 -4
42.34	40.1	0 2 0